Entry 1:
Diffraction record for ThAl3Pt. The X-ray diffraction stick pattern is theoretical, not measured: it uses a DFT-relaxed cell (PBE, OQMD) and Cu Kα (weighted mean of Kα1 and Kα2).

Most intense lines, 2θ from 10° to 90°, by intensity:
- (1 1 3), d 2.641, I = 100
- (2 1 0), d 3.004, I = 50
- (1 0 3), d 3.356, I = 46
- (3 1 1), d 2.300, I = 35
- (0 1 1), d 3.983, I = 26
- (0 2 0), d 2.137, I = 25
- (1 1 1), d 3.603, I = 23
- (2 0 1), d 3.942, I = 23
- (3 0 3), d 2.231, I = 19
- (0 0 2), d 5.495, I = 19

Structural model:
a b c (Å): 8.447 4.274 10.989
angles (deg): 90.00 90.00 90.00
Space group Pnma (No. 62)
Asymmetric unit:
Th  0.185  0.250  0.014
Al  0.060  0.250  0.586
Al  0.114  0.750  0.800
Al  0.142  0.750  0.220
Pt  0.098  0.250  0.353

***

Entry 2:
Diffraction record for Y2AlPt. The X-ray diffraction stick pattern is theoretical, not measured: it uses a DFT-relaxed cell (PBE, OQMD) and Cu Kα (weighted mean of Kα1 and Kα2).

Most intense lines, 2θ from 10° to 90°, by intensity:
- (2 2 0), d 2.452, I = 100
- (4 2 2), d 1.416, I = 35
- (2 0 0), d 3.468, I = 21
- (1 1 1), d 4.005, I = 21
- (4 0 0), d 1.734, I = 17
- (6 2 0), d 1.097, I = 16
- (3 1 1), d 2.091, I = 11
- (4 4 0), d 1.226, I = 11
- (4 2 0), d 1.551, I = 9
- (2 2 2), d 2.002, I = 6

Structural model:
a b c (Å): 6.936 6.936 6.936
angles (deg): 90.00 90.00 90.00
Space group F-43m (No. 216)
Asymmetric unit:
Y  0.000  0.000  0.000
Y  0.250  0.250  0.250
Al  0.000  0.000  0.500
Pt  0.250  0.250  0.750

***

Entry 3:
Diffraction record for Pu2Al2Zn15. The X-ray diffraction stick pattern is theoretical, not measured: it uses a DFT-relaxed cell (PBE, OQMD) and Cu Kα (weighted mean of Kα1 and Kα2).

Most intense lines, 2θ from 10° to 90°, by intensity:
- (0 3 3), d 2.223, I = 100
- (1 1 3), d 3.125, I = 48
- (2 2 0), d 2.237, I = 45
- (0 0 6), d 2.184, I = 39
- (3 0 0), d 2.583, I = 33
- (2 2 6), d 1.563, I = 24
- (4 1 3), d 1.577, I = 21
- (3 3 3), d 1.411, I = 20
- (1 0 1), d 6.670, I = 18
- (0 3 9), d 1.268, I = 17

Structural model:
a b c (Å): 8.9480 8.9480 13.1029
angles (deg): 90.00 90.00 120.00
Space group R-3m (No. 166, hexagonal axes)
Asymmetric unit:
Pu  0.0000  0.0000  0.1651
Al  0.0000  0.0000  0.3984
Zn  0.0000  0.3008  0.5000
Zn  0.0000  0.5000  0.0000
Zn  0.0110  0.5055  0.6517

***

Entry 4:
Diffraction record for Al7Re8. The X-ray diffraction stick pattern is theoretical, not measured: it uses a DFT-relaxed cell (PBE, OQMD) and Cu Kα (weighted mean of Kα1 and Kα2).

Most intense lines, 2θ from 10° to 90°, by intensity:
- (1 1 0), d 6.754, I = 100
- (4 1 1), d 2.097, I = 98
- (3 3 1), d 2.048, I = 58
- (4 1 0), d 2.316, I = 56
- (0 0 2), d 2.463, I = 48
- (2 1 0), d 4.272, I = 24
- (4 1 3), d 1.340, I = 23
- (2 2 0), d 3.377, I = 20
- (5 5 1), d 1.303, I = 19
- (2 1 2), d 2.134, I = 19

Structural model:
a b c (Å): 9.552 9.552 4.927
angles (deg): 90.00 90.00 90.00
Space group P4_2/mnm (No. 136)
Asymmetric unit:
Al  0.000  0.000  0.000
Al  0.105  0.105  0.500
Al  0.187  0.813  0.247
Re  0.035  0.373  0.500
Re  0.066  0.255  0.000

***

Entry 5:
Diffraction record for AlRe5. The X-ray diffraction stick pattern is theoretical, not measured: it uses a DFT-relaxed cell (PBE, OQMD) and Cu Kα (weighted mean of Kα1 and Kα2).

Most intense lines, 2θ from 10° to 90°, by intensity:
- (1 1 4), d 2.185, I = 100
- (2 0 2), d 2.154, I = 83
- (1 0 0), d 4.463, I = 43
- (1 0 6), d 2.339, I = 38
- (2 0 3), d 2.067, I = 36
- (2 2 0), d 1.288, I = 33
- (0 0 8), d 2.060, I = 27
- (2 0 1), d 2.211, I = 27
- (1 0 7), d 2.082, I = 27
- (3 0 4), d 1.399, I = 25

Structural model:
a b c (Å): 5.1529 5.1529 16.4818
angles (deg): 90.00 90.00 120.00
Space group P6_3/mmc (No. 194)
Asymmetric unit:
Al  0.0000  0.0000  0.0935
Re  0.0000  0.5000  0.0000
Re  0.1584  0.3167  0.2500
Re  0.3333  0.6667  0.1277
Re  0.3333  0.6667  0.6602

***

Entry 6:
Diffraction record for Al7Re. The X-ray diffraction stick pattern is theoretical, not measured: it uses a DFT-relaxed cell (PBE, OQMD) and Cu Kα (weighted mean of Kα1 and Kα2).

Most intense lines, 2θ from 10° to 90°, by intensity:
- (0 2 2), d 2.276, I = 100
- (0 1 0), d 5.354, I = 67
- (1 0 -4), d 2.286, I = 61
- (2 0 0), d 2.313, I = 51
- (1 0 -1), d 4.497, I = 47
- (-1 1 1), d 3.962, I = 38
- (1 0 4), d 1.965, I = 37
- (1 2 -2), d 1.998, I = 34
- (-2 2 2), d 1.981, I = 33
- (0 0 2), d 4.735, I = 33

Structural model:
a b c (Å): 4.901 5.585 9.636
angles (deg): 90.37 100.13 106.17
Space group P-1 (No. 2)
Asymmetric unit:
Al  0.214  0.429  0.309
Al  0.238  0.185  0.062
Al  0.238  0.939  0.304
Al  0.256  0.435  0.819
Al  0.262  0.187  0.572
Al  0.266  0.692  0.566
Al  0.272  0.700  0.058
Re  0.254  0.933  0.810

***

Entry 7:
Diffraction record for Al5Re7. The X-ray diffraction stick pattern is theoretical, not measured: it uses a DFT-relaxed cell (PBE, OQMD) and Cu Kα (weighted mean of Kα1 and Kα2).

Most intense lines, 2θ from 10° to 90°, by intensity:
- (0 0 2), d 8.457, I = 100
- (1 1 4), d 2.167, I = 89
- (0 0 8), d 2.115, I = 67
- (1 0 1), d 4.231, I = 27
- (1 1 0), d 2.523, I = 24
- (1 0 4), d 3.039, I = 22
- (1 0 6), d 2.369, I = 22
- (2 0 0), d 2.185, I = 21
- (3 0 4), d 1.377, I = 21
- (2 0 10), d 1.338, I = 18

Structural model:
a b c (Å): 5.0465 5.0465 16.9136
angles (deg): 90.00 90.00 120.00
Space group P6_3/mmc (No. 194)
Asymmetric unit:
Al  0.1632  0.3265  0.2500
Al  0.3333  0.6667  0.6425
Re  0.0000  0.0000  0.1115
Re  0.0000  0.5000  0.0000
Re  0.3333  0.6667  0.1293

***

Entry 8:
Diffraction record for Al2Re11. The X-ray diffraction stick pattern is theoretical, not measured: it uses a DFT-relaxed cell (PBE, OQMD) and Cu Kα (weighted mean of Kα1 and Kα2).

Most intense lines, 2θ from 10° to 90°, by intensity:
- (0 0 12), d 2.223, I = 100
- (2 0 5), d 2.053, I = 62
- (0 2 7), d 1.921, I = 61
- (0 2 1), d 2.217, I = 42
- (0 1 11), d 2.128, I = 42
- (2 2 0), d 1.284, I = 36
- (0 0 6), d 4.442, I = 31
- (2 0 17), d 1.282, I = 31
- (2 0 2), d 2.194, I = 30
- (1 0 10), d 2.286, I = 30

Structural model:
a b c (Å): 5.1367 5.1367 26.6492
angles (deg): 90.00 90.00 120.00
Space group R-3m (No. 166, hexagonal axes)
Asymmetric unit:
Al  0.0000  0.0000  0.1514
Re  0.0000  0.0000  0.0468
Re  0.0000  0.0000  0.3377
Re  0.0000  0.0000  0.5000
Re  0.0068  0.5034  0.9134

***

Entry 9:
Diffraction record for AlRe5. The X-ray diffraction stick pattern is theoretical, not measured: it uses a DFT-relaxed cell (PBE, OQMD) and Cu Kα (weighted mean of Kα1 and Kα2).

Most intense lines, 2θ from 10° to 90°, by intensity:
- (2 0 2), d 2.133, I = 100
- (1 1 4), d 2.155, I = 83
- (1 0 6), d 2.287, I = 72
- (2 0 1), d 2.192, I = 51
- (2 0 10), d 1.298, I = 34
- (2 2 0), d 1.278, I = 32
- (2 1 6), d 1.418, I = 29
- (1 0 5), d 2.596, I = 29
- (0 0 4), d 4.008, I = 24
- (3 0 4), d 1.384, I = 21

Structural model:
a b c (Å): 5.1106 5.1106 16.0301
angles (deg): 90.00 90.00 120.00
Space group P6_3/mmc (No. 194)
Asymmetric unit:
Al  0.3333  0.6667  0.1247
Re  0.0000  0.0000  0.0958
Re  0.0000  0.5000  0.0000
Re  0.1636  0.3273  0.2500
Re  0.3333  0.6667  0.6599

***

Entry 10:
Diffraction record for Al4Re25. The X-ray diffraction stick pattern is theoretical, not measured: it uses a DFT-relaxed cell (PBE, OQMD) and Cu Kα (weighted mean of Kα1 and Kα2).

Most intense lines, 2θ from 10° to 90°, by intensity:
- (4 1 1), d 2.259, I = 100
- (3 3 2), d 2.043, I = 41
- (4 3 1), d 1.879, I = 34
- (5 5 2), d 1.304, I = 29
- (2 1 1), d 3.912, I = 17
- (8 2 2), d 1.129, I = 12
- (6 4 2), d 1.281, I = 11
- (5 5 0), d 1.355, I = 11
- (4 2 2), d 1.956, I = 10
- (4 0 0), d 2.396, I = 9

Structural model:
a b c (Å): 9.583 9.583 9.583
angles (deg): 90.00 90.00 90.00
Space group I-43m (No. 217)
Asymmetric unit:
Al  0.176  0.176  0.176
Re  0.000  0.000  0.000
Re  0.042  0.359  0.641
Re  0.092  0.092  0.716